Entry 1:
# Co7Cl
Theoretical powder diffraction line list, copper Kα. Input: a DFT-relaxed cell (GGA-PBE, Alexandria).

Top 8 peaks for 2θ from 15° to 90°, low angle first:
2θ (°), intensity
21.42, 2
24.79, 1
35.34, 1
41.70, 1
43.65, 100
50.84, 46
55.78, 1
74.75, 27

Cell lengths 5.080, 5.080, 5.080 Å; angles 60.00, 60.00, 60.00 degrees
Positions (direct):
1 Co 0.000 0.000 0.000
2 Co 0.000 0.000 0.500
3 Co 0.000 0.500 0.000
4 Co 0.000 0.500 0.500
5 Co 0.500 0.000 0.000
6 Co 0.500 0.000 0.500
7 Co 0.500 0.500 0.000
8 Cl 0.500 0.500 0.500

Entry 2:
# Co3Cl5
Theoretical powder diffraction line list, copper Kα. Input: a DFT-relaxed cell (GGA-PBE, Alexandria).

Top 8 peaks for 2θ from 15° to 90°, low angle first:
2θ (°), intensity
20.25, 100
29.98, 73
32.64, 95
33.97, 61
41.17, 62
42.72, 60
51.98, 67
54.27, 65

Cell lengths 8.751, 8.751, 8.486 Å; angles 99.12, 99.12, 127.78 degrees
Positions (direct):
1 Co 0.000 0.000 0.000
2 Co 0.050 0.203 0.808
3 Co 0.203 0.050 0.808
4 Co 0.469 0.611 0.219
5 Co 0.611 0.469 0.219
6 Co 0.887 0.887 0.508
7 Cl 0.021 0.230 0.553
8 Cl 0.081 0.810 0.931
9 Cl 0.230 0.021 0.553
10 Cl 0.274 0.274 0.232
11 Cl 0.299 0.548 0.958
12 Cl 0.548 0.299 0.958
13 Cl 0.560 0.782 0.487
14 Cl 0.782 0.560 0.487
15 Cl 0.810 0.081 0.931
16 Cl 0.813 0.813 0.193

Entry 3:
# Cs2Co3Cl9
Theoretical powder diffraction line list, copper Kα. Input: a DFT-relaxed cell (GGA-PBE, Alexandria).

Top 8 peaks for 2θ from 15° to 90°, low angle first:
2θ (°), intensity
17.38, 50
18.36, 73
22.29, 45
22.48, 100
23.97, 45
27.17, 69
34.12, 42
34.92, 56

Cell lengths 10.566, 10.566, 10.810 Å; angles 104.74, 104.74, 110.87 degrees
Positions (direct):
1 Cs 0.102 0.743 0.706
2 Cs 0.257 0.898 0.294
3 Cs 0.743 0.102 0.706
4 Cs 0.898 0.257 0.294
5 Co 0.217 0.435 0.865
6 Co 0.285 0.285 0.195
7 Co 0.435 0.217 0.865
8 Co 0.565 0.783 0.135
9 Co 0.715 0.715 0.805
10 Co 0.783 0.565 0.135
11 Cl 0.037 0.380 0.670
12 Cl 0.096 0.096 0.187
13 Cl 0.121 0.310 0.980
14 Cl 0.278 0.480 0.318
15 Cl 0.310 0.121 0.980
16 Cl 0.319 0.681 0.000
17 Cl 0.380 0.037 0.670
18 Cl 0.399 0.399 0.817
19 Cl 0.480 0.278 0.318
20 Cl 0.520 0.722 0.682
21 Cl 0.601 0.601 0.183
22 Cl 0.620 0.963 0.330
23 Cl 0.681 0.319 0.000
24 Cl 0.690 0.879 0.020
25 Cl 0.722 0.520 0.682
26 Cl 0.879 0.690 0.020
27 Cl 0.904 0.904 0.813
28 Cl 0.963 0.620 0.330

Entry 4:
# Cs4CoCl6
Theoretical powder diffraction line list, copper Kα. Input: a DFT-relaxed cell (GGA-PBE, Alexandria).

Top 8 peaks for 2θ from 15° to 90°, low angle first:
2θ (°), intensity
18.28, 53
19.72, 99
20.84, 100
22.61, 57
24.83, 94
26.52, 50
30.98, 88
36.65, 64

Cell lengths 8.724, 8.724, 17.371 Å; angles 106.73, 106.73, 48.53 degrees
Positions (direct):
1 Cs 0.114 0.584 0.066
2 Cs 0.228 0.772 0.500
3 Cs 0.296 0.789 0.818
4 Cs 0.471 0.943 0.188
5 Cs 0.584 0.114 0.566
6 Cs 0.772 0.228 0.000
7 Cs 0.789 0.296 0.318
8 Cs 0.943 0.471 0.688
9 Co 0.063 0.520 0.303
10 Co 0.520 0.063 0.803
11 Cl 0.114 0.663 0.631
12 Cl 0.225 0.634 0.290
13 Cl 0.244 0.256 0.869
14 Cl 0.256 0.244 0.369
15 Cl 0.306 0.766 0.012
16 Cl 0.429 0.952 0.675
17 Cl 0.634 0.225 0.790
18 Cl 0.663 0.114 0.131
19 Cl 0.766 0.306 0.512
20 Cl 0.767 0.794 0.872
21 Cl 0.794 0.767 0.372
22 Cl 0.952 0.429 0.175

Entry 5:
# Cs3Co2Cl8
Theoretical powder diffraction line list, copper Kα. Input: a DFT-relaxed cell (GGA-PBE, Alexandria).

Top 8 peaks for 2θ from 15° to 90°, low angle first:
2θ (°), intensity
20.80, 95
24.14, 100
27.96, 26
30.64, 30
32.07, 61
34.23, 29
40.54, 32
49.44, 32

Cell lengths 10.478, 10.478, 10.478 Å; angles 41.20, 41.20, 41.20 degrees
Positions (direct):
1 Cs 0.000 0.000 0.000
2 Cs 0.210 0.210 0.210
3 Cs 0.790 0.790 0.790
4 Co 0.409 0.409 0.409
5 Co 0.591 0.591 0.591
6 Cl 0.237 0.728 0.728
7 Cl 0.272 0.272 0.763
8 Cl 0.272 0.763 0.272
9 Cl 0.333 0.333 0.333
10 Cl 0.667 0.667 0.667
11 Cl 0.728 0.237 0.728
12 Cl 0.728 0.728 0.237
13 Cl 0.763 0.272 0.272

Entry 6:
# Cs2CoCl6
Theoretical powder diffraction line list, copper Kα. Input: a DFT-relaxed cell (GGA-PBE, Alexandria).

Top 8 peaks for 2θ from 15° to 90°, low angle first:
2θ (°), intensity
20.29, 67
24.39, 56
29.20, 29
29.44, 27
31.93, 100
36.07, 32
49.99, 27
53.83, 28

Cell lengths 7.299, 7.299, 12.135 Å; angles 90.00, 90.00, 120.00 degrees
Positions (direct):
1 Cs 0.000 0.000 0.000
2 Cs 0.000 0.000 0.500
3 Cs 0.333 0.667 0.250
4 Cs 0.667 0.333 0.750
5 Co 0.333 0.667 0.626
6 Co 0.667 0.333 0.126
7 Cl 0.043 0.521 0.517
8 Cl 0.187 0.373 0.732
9 Cl 0.187 0.813 0.732
10 Cl 0.373 0.187 0.232
11 Cl 0.479 0.521 0.517
12 Cl 0.479 0.957 0.517
13 Cl 0.521 0.043 0.017
14 Cl 0.521 0.479 0.017
15 Cl 0.627 0.813 0.732
16 Cl 0.813 0.187 0.232
17 Cl 0.813 0.627 0.232
18 Cl 0.957 0.479 0.017

Entry 7:
# CsFeCoCl6
Theoretical powder diffraction line list, copper Kα. Input: a DFT-relaxed cell (GGA-PBE, Alexandria).

Top 8 peaks for 2θ from 15° to 90°, low angle first:
2θ (°), intensity
19.70, 100
27.98, 16
30.25, 13
34.45, 13
36.31, 21
36.45, 34
44.98, 13
49.48, 11

Cell lengths 6.377, 6.377, 7.797 Å; angles 90.13, 90.13, 119.93 degrees
Positions (direct):
1 Cs 0.000 0.000 0.000
2 Fe 0.667 0.333 0.500
3 Co 0.332 0.668 0.500
4 Cl 0.000 0.621 0.324
5 Cl 0.379 0.000 0.676
6 Cl 0.385 0.385 0.321
7 Cl 0.615 0.615 0.679
8 Cl 0.620 0.002 0.323
9 Cl 0.998 0.380 0.677

Entry 8:
# CsGa2CoCl8
Theoretical powder diffraction line list, copper Kα. Input: a DFT-relaxed cell (GGA-PBE, Alexandria).

Top 8 peaks for 2θ from 15° to 90°, low angle first:
2θ (°), intensity
20.15, 100
27.95, 36
29.45, 34
33.57, 25
34.70, 24
45.13, 24
46.94, 26
49.46, 28

Cell lengths 10.411, 10.411, 10.411 Å; angles 35.71, 35.71, 35.71 degrees
Positions (direct):
1 Cs 0.000 0.000 0.000
2 Ga 0.238 0.238 0.238
3 Ga 0.762 0.762 0.762
4 Co 0.500 0.500 0.500
5 Cl 0.130 0.459 0.760
6 Cl 0.240 0.870 0.541
7 Cl 0.314 0.314 0.314
8 Cl 0.459 0.760 0.130
9 Cl 0.541 0.240 0.870
10 Cl 0.686 0.686 0.686
11 Cl 0.760 0.130 0.459
12 Cl 0.870 0.541 0.240

Entry 9:
# CsCoHg2Cl8
Theoretical powder diffraction line list, copper Kα. Input: a DFT-relaxed cell (GGA-PBE, Alexandria).

Top 8 peaks for 2θ from 15° to 90°, low angle first:
2θ (°), intensity
16.60, 19
19.28, 100
21.18, 30
25.75, 35
27.23, 24
28.52, 55
31.38, 21
35.70, 18

Cell lengths 6.300, 6.309, 10.293 Å; angles 75.42, 75.68, 66.58 degrees
Positions (direct):
1 Cs 0.000 0.000 0.000
2 Co 0.500 0.500 0.500
3 Hg 0.226 0.227 0.322
4 Hg 0.774 0.773 0.678
5 Cl 0.245 0.699 0.664
6 Cl 0.278 0.277 0.539
7 Cl 0.297 0.757 0.337
8 Cl 0.312 0.314 0.077
9 Cl 0.688 0.686 0.923
10 Cl 0.703 0.243 0.663
11 Cl 0.722 0.723 0.461
12 Cl 0.755 0.301 0.336

Entry 10:
# CsInCoCl6
Theoretical powder diffraction line list, copper Kα. Input: a DFT-relaxed cell (GGA-PBE, Alexandria).

Top 8 peaks for 2θ from 15° to 90°, low angle first:
2θ (°), intensity
19.26, 100
19.35, 50
27.19, 24
33.52, 17
35.58, 35
35.75, 52
43.67, 24
48.04, 25

Cell lengths 6.561, 6.561, 7.844 Å; angles 90.20, 90.20, 120.02 degrees
Positions (direct):
1 Cs 0.000 0.000 0.000
2 In 0.666 0.334 0.500
3 Co 0.332 0.668 0.500
4 Cl 0.011 0.381 0.682
5 Cl 0.013 0.629 0.318
6 Cl 0.371 0.987 0.682
7 Cl 0.378 0.390 0.314
8 Cl 0.610 0.622 0.686
9 Cl 0.619 0.989 0.318

Entry 11:
# Cs3KCo2Cl9
Theoretical powder diffraction line list, copper Kα. Input: a DFT-relaxed cell (GGA-PBE, Alexandria).

Top 8 peaks for 2θ from 15° to 90°, low angle first:
2θ (°), intensity
23.25, 74
24.07, 68
28.06, 16
29.43, 58
33.72, 100
41.85, 27
47.54, 27
49.29, 33

Cell lengths 7.394, 7.394, 9.539 Å; angles 90.00, 90.00, 120.00 degrees
Positions (direct):
1 Cs 0.000 0.000 0.000
2 Cs 0.333 0.667 0.698
3 Cs 0.667 0.333 0.302
4 K 0.000 0.000 0.500
5 Co 0.333 0.667 0.164
6 Co 0.667 0.333 0.836
7 Cl 0.000 0.500 0.000
8 Cl 0.181 0.361 0.294
9 Cl 0.181 0.819 0.294
10 Cl 0.361 0.181 0.706
11 Cl 0.500 0.000 0.000
12 Cl 0.500 0.500 0.000
13 Cl 0.639 0.819 0.294
14 Cl 0.819 0.181 0.706
15 Cl 0.819 0.639 0.706

Entry 12:
# Cs2LaCoCl6
Theoretical powder diffraction line list, copper Kα. Input: a DFT-relaxed cell (GGA-PBE, Alexandria).

Top 8 peaks for 2θ from 15° to 90°, low angle first:
2θ (°), intensity
23.67, 100
29.10, 21
33.72, 61
41.62, 45
48.44, 41
54.60, 21
65.73, 24
80.87, 17

Cell lengths 7.517, 7.517, 7.517 Å; angles 60.00, 60.00, 60.00 degrees
Positions (direct):
1 Cs 0.250 0.250 0.250
2 Cs 0.750 0.750 0.750
3 La 0.000 0.000 0.000
4 Co 0.500 0.500 0.500
5 Cl 0.262 0.262 0.738
6 Cl 0.262 0.738 0.262
7 Cl 0.262 0.738 0.738
8 Cl 0.738 0.262 0.262
9 Cl 0.738 0.262 0.738
10 Cl 0.738 0.738 0.262